This entry pairs a crystal structure of Al3P2H8O14 with its theoretical XRD peak list. Radiation: Cu Kα (λ = 1.5418 Å). Structure: a cell relaxed with GGA-PBE.
Lines closer than 0.1° are merged.

Principal peaks in the range 2θ from 10° to 80°, in order of falling intensity:
2θ/deg	d/Å	I (rel.)	index
23.46	3.793	1000	1 -1 1
30.53	2.928	931	1 2 3
12.75	6.943	884	0 1 0
27.18	3.281	706	2 0 0
18.45	4.808	684	1 0 -1
26.80	3.327	445	1 1 3
25.59	3.481	414	0 1 -2
44.89	2.019	326	3 0 -1
25.86	3.446	275	2 1 0
28.72	3.109	262	2 2 2

Structural model:
```
Al3P2H8O14
1.0
7.436 0.000 0.000
3.239 7.129 0.000
3.522 2.138 9.174
Al P H O
6 4 16 28
Direct
0.233 0.323 0.245
0.253 0.682 0.264
0.257 0.002 0.753
0.743 0.998 0.247
0.747 0.318 0.736
0.767 0.677 0.755
0.151 0.106 0.059
0.334 0.898 0.452
0.666 0.102 0.548
0.849 0.894 0.941
0.078 0.204 0.573
0.096 0.430 0.679
0.143 0.627 0.594
0.194 0.640 0.041
0.327 0.356 0.455
0.362 0.333 0.828
0.366 0.548 0.764
0.460 0.805 0.929
0.540 0.195 0.071
0.634 0.452 0.236
0.638 0.667 0.172
0.673 0.644 0.545
0.806 0.360 0.959
0.857 0.373 0.406
0.904 0.570 0.321
0.922 0.796 0.427
0.040 0.207 0.676
0.071 0.560 0.688
0.080 0.864 0.889
0.190 0.260 0.097
0.205 0.106 0.394
0.217 0.140 0.891
0.234 0.569 0.133
0.262 0.434 0.374
0.270 0.750 0.426
0.282 0.903 0.124
0.304 0.858 0.619
0.434 0.141 0.616
0.446 0.415 0.800
0.482 0.805 0.826
0.518 0.195 0.174
0.554 0.585 0.200
0.566 0.859 0.384
0.696 0.142 0.381
0.718 0.097 0.876
0.730 0.250 0.574
0.738 0.566 0.626
0.766 0.431 0.867
0.783 0.860 0.109
0.795 0.894 0.606
0.810 0.740 0.903
0.920 0.136 0.111
0.929 0.440 0.312
0.960 0.793 0.324
```



This entry pairs a crystal structure of Al2P3H3O9 with its theoretical XRD peak list. Radiation: Cu Kα (λ = 1.5418 Å). Structure: a cell relaxed with GGA-PBE.
Lines closer than 0.1° are merged.

Principal peaks in the range 2θ from 10° to 80°, in order of falling intensity:
2θ/deg	d/Å	I (rel.)	index
12.81	6.913	1000	1 0 0
25.53	3.489	929	1 1 1
28.66	3.115	235	2 0 1
33.57	2.670	217	1 1 2
34.32	2.613	175	2 1 0
62.01	1.497	104	3 1 3
51.79	1.765	104	1 2 3
54.23	1.691	98	3 1 2
39.09	2.304	70	3 0 0
36.07	2.490	68	2 0 2

Structural model:
```
Al2P3H3O9
1.0
7.983 0.000 0.000
-3.991 6.913 0.000
0.000 0.000 7.182
Al P H O
4 6 6 18
Direct
0.333 0.667 0.055
0.333 0.667 0.445
0.667 0.333 0.555
0.667 0.333 0.945
0.049 0.687 0.750
0.313 0.363 0.750
0.363 0.049 0.250
0.637 0.951 0.750
0.687 0.637 0.250
0.951 0.313 0.250
0.012 0.177 0.250
0.165 0.988 0.250
0.177 0.165 0.750
0.823 0.835 0.250
0.835 0.012 0.750
0.988 0.823 0.750
0.138 0.517 0.250
0.164 0.719 0.571
0.164 0.719 0.929
0.281 0.445 0.571
0.281 0.445 0.929
0.379 0.862 0.250
0.445 0.164 0.071
0.445 0.164 0.429
0.483 0.621 0.250
0.517 0.379 0.750
0.555 0.836 0.571
0.555 0.836 0.929
0.621 0.138 0.750
0.719 0.555 0.071
0.719 0.555 0.429
0.836 0.281 0.071
0.836 0.281 0.429
0.862 0.483 0.750
```



This entry pairs a crystal structure of AlP3H6O12 with its theoretical XRD peak list. Radiation: Cu Kα (λ = 1.5418 Å). Structure: a cell relaxed with GGA-PBE.
Lines closer than 0.1° are merged.

Principal peaks in the range 2θ from 10° to 80°, in order of falling intensity:
2θ/deg	d/Å	I (rel.)	index
10.96	8.069	1000	1 0 0
26.54	3.359	546	1 1 2
17.79	4.987	373	1 0 -2
31.32	2.856	320	1 0 -4
28.50	3.132	305	2 1 0
19.45	4.564	254	1 0 2
25.30	3.521	184	1 1 -2
22.68	3.921	179	1 1 1
28.97	3.083	153	0 1 3
21.97	4.046	133	1 1 -1

Structural model:
```
AlP3H6O12
1.0
8.105 0.000 0.000
0.000 4.970 0.000
-1.120 0.000 11.786
Al P H O
2 6 12 24
Direct
0.000 0.000 0.000
0.000 0.000 0.500
0.000 0.233 0.250
0.000 0.767 0.750
0.216 0.499 0.096
0.216 0.501 0.596
0.784 0.499 0.404
0.784 0.501 0.904
0.326 0.082 0.896
0.326 0.918 0.396
0.473 0.350 0.629
0.473 0.650 0.129
0.485 0.080 0.366
0.485 0.920 0.866
0.515 0.080 0.134
0.515 0.920 0.634
0.527 0.350 0.871
0.527 0.650 0.371
0.674 0.082 0.604
0.674 0.918 0.104
0.068 0.079 0.353
0.068 0.921 0.853
0.144 0.431 0.217
0.144 0.569 0.717
0.150 0.292 0.010
0.150 0.708 0.510
0.175 0.211 0.568
0.175 0.789 0.068
0.408 0.467 0.123
0.408 0.533 0.623
0.430 0.096 0.860
0.430 0.904 0.360
0.570 0.096 0.640
0.570 0.904 0.140
0.592 0.467 0.377
0.592 0.533 0.877
0.825 0.211 0.932
0.825 0.789 0.432
0.850 0.292 0.490
0.850 0.708 0.990
0.856 0.431 0.283
0.856 0.569 0.783
0.932 0.079 0.147
0.932 0.921 0.647
```



This entry pairs a crystal structure of Al6ZnP4H16O28 with its theoretical XRD peak list. Radiation: Cu Kα (λ = 1.5418 Å). Structure: a cell relaxed with GGA-PBE.
Lines closer than 0.1° are merged.

Principal peaks in the range 2θ from 10° to 80°, in order of falling intensity:
2θ/deg	d/Å	I (rel.)	index
19.20	4.624	1000	1 1 -1
12.91	6.859	628	1 1 1
21.34	4.163	479	1 -1 1
10.08	8.772	384	0 0 1
13.42	6.598	369	1 0 1
25.84	3.447	311	2 2 0
23.88	3.726	267	2 1 2
20.78	4.275	243	1 0 2
24.16	3.683	228	1 2 2
43.48	2.081	217	0 2 4

Structural model:
```
Al6ZnP4H16O28
1.0
8.755 0.000 0.000
3.897 7.907 0.000
3.260 1.660 8.772
Al Zn P H O
6 1 4 16 28
Direct
0.162 0.404 0.049
0.243 0.714 0.340
0.308 0.085 0.206
0.692 0.915 0.794
0.757 0.286 0.660
0.838 0.596 0.951
0.000 0.000 0.500
0.403 0.805 0.851
0.476 0.613 0.678
0.524 0.387 0.322
0.597 0.195 0.149
0.037 0.679 0.231
0.115 0.057 0.678
0.122 0.859 0.880
0.136 0.490 0.774
0.184 0.262 0.401
0.213 0.636 0.107
0.268 0.535 0.996
0.330 0.134 0.916
0.670 0.866 0.084
0.732 0.465 0.004
0.787 0.364 0.893
0.816 0.738 0.599
0.864 0.510 0.226
0.878 0.141 0.120
0.885 0.943 0.322
0.963 0.321 0.769
0.069 0.139 0.586
0.075 0.461 0.879
0.137 0.715 0.185
0.182 0.295 0.240
0.199 0.921 0.823
0.203 0.940 0.278
0.209 0.515 0.463
0.222 0.185 0.502
0.255 0.783 0.510
0.291 0.645 0.650
0.311 0.177 0.006
0.384 0.385 0.488
0.461 0.577 0.238
0.477 0.954 0.774
0.523 0.046 0.226
0.539 0.423 0.762
0.616 0.615 0.512
0.689 0.823 0.994
0.709 0.355 0.350
0.745 0.217 0.490
0.778 0.815 0.498
0.791 0.485 0.537
0.797 0.060 0.722
0.801 0.079 0.177
0.818 0.705 0.760
0.863 0.285 0.815
0.925 0.539 0.121
0.931 0.861 0.414
```